For PaNi4H8, a structure optimized by DFT (GGA-PBE) gives the calculated powder diffraction line list in this record (Cu Kα, 1.54184 Å).
Neutral-atom scattering factors, no anomalous dispersion.

Peak list (10 most intense, 15° ≤ 2θ ≤ 90°, by angle)
20.49°, rel. 1000
22.83°, rel. 781
30.53°, rel. 384
34.39°, rel. 281
34.99°, rel. 407
35.29°, rel. 262
38.74°, rel. 409
41.68°, rel. 739
46.64°, rel. 568
63.54°, rel. 214

Structural model:
```
PaNi4H8
1.0
2.607 1.505 5.129
-2.607 1.505 5.129
0.000 -3.011 5.129
Pa Ni H
1 4 8
Cartesian
0.000 0.000 0.000
-2.607 0.000 7.693
-1.304 0.753 2.564
1.304 0.753 2.564
0.000 0.000 7.693
0.000 0.000 3.484
-1.263 -0.729 8.545
0.000 -1.458 6.842
-1.263 0.729 6.842
1.263 -0.729 8.545
0.000 1.458 8.545
1.263 0.729 6.842
0.000 0.000 11.903
```

***

For Ce5Sn2Hg, a structure optimized by DFT (GGA-PBE) gives the calculated powder diffraction line list in this record (Cu Kα, 1.54184 Å).
Neutral-atom scattering factors, no anomalous dispersion.

Peak list (10 most intense, 15° ≤ 2θ ≤ 90°, by angle)
19.88°, rel. 270
30.67°, rel. 497
31.48°, rel. 451
33.30°, rel. 815
34.04°, rel. 448
34.43°, rel. 1000
35.92°, rel. 810
48.35°, rel. 358
58.35°, rel. 336
60.22°, rel. 316

Structural model:
```
Ce5Sn2Hg
1.0
2.691 -5.649 0.000
2.691 5.649 0.000
0.000 0.000 14.578
Ce Sn Hg
10 4 2
Cartesian
2.691 5.343 10.934
2.691 4.397 0.328
2.691 4.397 6.961
2.691 0.913 0.981
2.691 0.913 6.309
2.691 -0.913 8.270
2.691 -0.913 13.598
2.691 -4.397 7.617
2.691 -4.397 14.250
2.691 -5.343 3.645
2.691 2.145 9.383
2.691 2.145 12.484
2.691 -2.145 2.094
2.691 -2.145 5.195
2.691 2.578 3.645
2.691 -2.578 10.934
```

***

For PuPPd6, a structure optimized by DFT (GGA-PBE) gives the calculated powder diffraction line list in this record (Cu Kα, 1.54184 Å).
Neutral-atom scattering factors, no anomalous dispersion.

Peak list (10 most intense, 15° ≤ 2θ ≤ 90°, by angle)
15.87°, rel. 255
28.04°, rel. 546
32.38°, rel. 310
37.13°, rel. 1000
38.32°, rel. 576
42.02°, rel. 184
45.68°, rel. 427
47.21°, rel. 160
56.86°, rel. 178
66.14°, rel. 248

Structural model:
```
PuPPd6
1.0
2.826 1.631 5.584
-2.826 1.631 5.584
0.000 -3.263 5.584
Pu P Pd
1 1 6
Cartesian
0.000 0.000 0.000
0.000 0.000 8.377
-1.472 -0.850 6.926
0.000 -1.700 9.827
-1.472 0.850 9.827
1.472 -0.850 6.926
0.000 1.700 6.926
1.472 0.850 9.827
```

***

For Tm3Pt2Rh, a structure optimized by DFT (GGA-PBE) gives the calculated powder diffraction line list in this record (Cu Kα, 1.54184 Å).
Neutral-atom scattering factors, no anomalous dispersion.

Peak list (10 most intense, 15° ≤ 2θ ≤ 90°, by angle)
23.31°, rel. 7
29.13°, rel. 16
37.02°, rel. 506
37.19°, rel. 1000
53.36°, rel. 178
53.88°, rel. 87
66.83°, rel. 363
67.17°, rel. 179
78.84°, rel. 57
79.26°, rel. 113

Structural model:
```
Tm3Pt2Rh
1.0
2.428 -7.284 0.000
2.428 7.284 0.000
0.000 0.000 6.807
Tm Pt Rh
6 4 2
Cartesian
0.000 0.000 1.688
0.000 0.000 5.119
2.428 2.448 1.684
2.428 2.448 5.123
2.428 -2.448 1.684
2.428 -2.448 5.123
2.428 4.876 3.403
2.428 0.000 0.000
2.428 0.000 3.403
2.428 -4.876 3.403
2.428 4.825 0.000
2.428 -4.825 0.000
```

***

For CeTlHgF6, a structure optimized by DFT (GGA-PBE) gives the calculated powder diffraction line list in this record (Cu Kα, 1.54184 Å).
Neutral-atom scattering factors, no anomalous dispersion.

Peak list (10 most intense, 15° ≤ 2θ ≤ 90°, by angle)
22.92°, rel. 1000
26.93°, rel. 573
35.65°, rel. 315
43.92°, rel. 457
45.24°, rel. 334
47.57°, rel. 200
59.78°, rel. 122
60.84°, rel. 143
66.74°, rel. 127
86.01°, rel. 122

Structural model:
```
CeTlHgF6
1.0
6.622 0.000 0.000
-3.311 5.734 0.000
0.000 0.000 10.536
Ce Tl Hg F
2 2 2 12
Cartesian
0.000 3.823 2.634
3.311 1.911 7.902
0.000 0.000 0.000
0.000 0.000 5.268
0.000 3.823 7.902
3.311 1.911 2.634
-0.981 2.237 1.464
-1.864 3.767 3.804
0.981 2.237 3.804
-0.883 5.465 1.464
2.428 0.269 6.732
1.447 1.968 9.073
1.864 3.767 1.464
0.883 5.465 3.804
4.194 0.269 9.073
2.330 3.498 6.732
5.175 1.968 6.732
4.292 3.498 9.073
```

***

For Ir2Os, a structure optimized by DFT (GGA-PBE) gives the calculated powder diffraction line list in this record (Cu Kα, 1.54184 Å).
Neutral-atom scattering factors, no anomalous dispersion.

Peak list (8 most intense, 15° ≤ 2θ ≤ 90°, by angle)
40.42°, rel. 1000
46.97°, rel. 327
47.10°, rel. 162
68.61°, rel. 107
68.71°, rel. 213
82.76°, rel. 260
82.95°, rel. 130
87.40°, rel. 116

Structural model:
```
Ir2Os
1.0
2.735 0.000 0.000
0.000 3.859 0.000
0.000 0.000 8.208
Ir Os
4 2
Cartesian
0.000 0.000 1.347
0.000 0.000 6.861
1.368 1.929 2.757
1.368 1.929 5.451
0.000 0.000 4.104
1.368 1.929 0.000
```